Structure and computed X-ray powder pattern of Li6Mn3Cr2Fe3O16 (a crystal structure in the Materials Project, relaxed with PBE+U; Cu Ka).
Lines closer than 0.1° are merged.

Crystal structure
```
data_Li6Mn3Cr2Fe3O16
_chemical_formula_sum 'Li6 Mn3 Cr2 Fe3 O16'
_symmetry_space_group_name_H-M 'P 1'
_symmetry_Int_Tables_number 1
_cell_length_a 5.8645
_cell_length_b 5.8712
_cell_length_c 9.5608
_cell_angle_alpha 89.42
_cell_angle_beta 89.20
_cell_angle_gamma 60.51
loop_
_symmetry_equiv_pos_as_xyz
'x,y,z'
loop_
_atom_site_label
_atom_site_type_symbol
_atom_site_fract_x
_atom_site_fract_y
_atom_site_fract_z
_atom_site_occupancy
Li1 Li 0.0000 0.0000 0.0000 1
Li2 Li 0.0007 0.4817 0.0032 1
Li3 Li 0.1703 0.6577 0.5021 1
Li4 Li 0.4795 0.0003 0.0043 1
Li5 Li 0.6537 0.6542 0.5036 1
Li6 Li 0.6597 0.1698 0.5014 1
Mn1 Mn 0.4884 0.9935 0.2731 1
Mn2 Mn 0.6561 0.6573 0.7737 1
Mn3 Mn 0.9964 0.4892 0.2734 1
Cr1 Cr 0.1596 0.1571 0.5463 1
Cr2 Cr 0.4854 0.4956 0.0471 1
Fe1 Fe 0.1588 0.6573 0.7713 1
Fe2 Fe 0.6561 0.1599 0.7715 1
Fe3 Fe 0.9902 0.9948 0.2702 1
O1 O 0.1414 0.6614 0.1542 1
O2 O 0.1773 0.1437 0.1560 1
O3 O 0.3134 0.8628 0.4013 1
O4 O 0.3247 0.2998 0.4036 1
O5 O 0.3427 0.3436 0.9049 1
O6 O 0.3496 0.7914 0.9004 1
O7 O 0.4992 0.4996 0.6576 1
O8 O 0.5025 0.9774 0.6584 1
O9 O 0.6483 0.6777 0.1577 1
O10 O 0.6590 0.1481 0.1541 1
O11 O 0.7899 0.3527 0.9022 1
O12 O 0.8059 0.8425 0.3835 1
O13 O 0.8182 0.8190 0.8828 1
O14 O 0.8670 0.3153 0.4012 1
O15 O 0.9787 0.5040 0.6561 1
O16 O 0.9851 0.9859 0.6510 1
```

Largest 10 diffraction maxima, by angle, 10 to 80 degrees two-theta:
hkl 0 0 2, 18.6 deg, d 4.780, I 774
hkl 0 1 -1, 19.7 deg, d 4.510, I 1000
hkl 1 1 2, 25.4 deg, d 3.502, I 282
hkl 1 0 3, 33.0 deg, d 2.713, I 233
hkl 1 2 2, 35.7 deg, d 2.516, I 325
hkl 2 1 -2, 36.1 deg, d 2.487, I 226
hkl 0 2 1, 36.4 deg, d 2.470, I 415
hkl 2 0 -1, 36.5 deg, d 2.459, I 274
hkl 2 2 3, 45.4 deg, d 1.997, I 394
hkl 4 2 0, 63.4 deg, d 1.467, I 421